Theoretical powder X-ray diffraction pattern of Li3V2P4H2O16 for Cu Kα (weighted mean of Kα1 and Kα2), from DFT lattice parameters and positions (GGA+U).

Structure:
a = 7.896 Å, b = 8.077 Å, c = 9.731 Å
α = 90.69°, β = 111.83°, γ = 90.43°
Space group P1 (No. 1)
One atom of each set of equivalent atoms:
Li1 0.000 0.000 0.000 x1
Li2 0.001 0.005 0.495 x1
Li3 0.202 0.503 0.445 x1
Li4 0.488 0.234 0.995 x1
Li5 0.686 0.730 0.955 x1
Li6 0.688 0.735 0.449 x1
V1 0.339 0.860 0.969 x1
V2 0.345 0.876 0.473 x1
V3 0.843 0.367 0.474 x1
V4 0.854 0.369 0.973 x1
P1 0.073 0.716 0.155 x1
P2 0.075 0.716 0.652 x1
P3 0.111 0.218 0.791 x1
P4 0.111 0.223 0.291 x1
P5 0.582 0.515 0.156 x1
P6 0.585 0.520 0.656 x1
P7 0.609 0.021 0.790 x1
P8 0.610 0.024 0.288 x1
H1 0.355 0.375 0.215 x1
H2 0.359 0.374 0.714 x1
H3 0.834 0.877 0.730 x1
H4 0.836 0.876 0.228 x1
O1 0.022 0.541 0.084 x1
O2 0.032 0.545 0.571 x1
O3 0.150 0.051 0.870 x1
O4 0.153 0.055 0.366 x1
O5 0.177 0.827 0.577 x1
O6 0.178 0.819 0.079 x1
O7 0.193 0.699 0.321 x1
O8 0.196 0.696 0.816 x1
O9 0.278 0.332 0.313 x1
O10 0.289 0.308 0.813 x1
O11 0.403 0.425 0.630 x1
O12 0.411 0.405 0.132 x1
O13 0.493 0.041 0.627 x1
O14 0.495 0.039 0.122 x1
O15 0.511 0.916 0.365 x1
O16 0.513 0.909 0.868 x1
O17 0.533 0.681 0.080 x1
O18 0.534 0.683 0.574 x1
O19 0.660 0.190 0.874 x1
O20 0.668 0.194 0.363 x1
O21 0.692 0.413 0.080 x1
O22 0.700 0.539 0.324 x1
O23 0.701 0.419 0.586 x1
O24 0.701 0.540 0.824 x1
O25 0.792 0.926 0.316 x1
O26 0.795 0.931 0.816 x1
O27 0.893 0.805 0.627 x1
O28 0.895 0.812 0.127 x1
O29 0.987 0.197 0.623 x1
O30 0.987 0.198 0.122 x1
O31 0.990 0.318 0.862 x1
O32 0.994 0.323 0.365 x1

Peak list (10 most intense, 2θ = 5–70°, in order of rising 2θ)
(hkl)  two_theta  intensity
1 -1 0  16.23  25
1 1 0  16.44  28
0 1 -2  22.40  19
0 1 2  22.71  23
2 0 -2  24.98  100
1 2 0  25.32  25
1 -1 2  28.81  35
1 1 2  29.21  51
2 -2 0  32.79  22
2 2 0  33.23  20